The following is a computed XRD peak list of Cu5Ag4. It was derived from a structure optimized by DFT (GGA-PBE), using Cu Ka.

Principal peaks in the range 2θ = 10–90°, by angle:
40.32 deg, rel. 1000, hkl 1 2 1; 40.40 deg, rel. 988, hkl 2 0 1; 46.65 deg, rel. 322, hkl 1 -2 0; 46.89 deg, rel. 312, hkl 2 1 -1; 47.30 deg, rel. 304, hkl 1 1 3; 68.20 deg, rel. 97, hkl -3 1 1; 68.75 deg, rel. 177, hkl 2 -1 3; 82.26 deg, rel. 109, hkl 0 4 1; 82.64 deg, rel. 156, hkl 4 1 0; 83.29 deg, rel. 101, hkl 3 1 4

Structure:
a b c (Å): 4.7430 4.7554 6.0846
angles (deg): 75.17 83.02 80.83
Space group P1 (No. 1)
One atom of each set of equivalent atoms:
Cu  0.0000  0.0000  0.0000
Cu  0.1004  0.5569  0.7691
Cu  0.3117  0.6728  0.3215
Cu  0.7876  0.8837  0.4128
Cu  0.8924  0.4589  0.2007
Ag  0.2074  0.1012  0.5480
Ag  0.4402  0.2278  0.1049
Ag  0.5629  0.7826  0.8797
Ag  0.6596  0.3533  0.6345

The following is a computed XRD peak list of Ni5Ge2. It was derived from a structure optimized by DFT (GGA-PBE), using Cu Ka.

Principal peaks in the range 2θ = 10–90°, by angle:
40.99 deg, rel. 140, hkl 2 1 1; 42.21 deg, rel. 242, hkl 2 0 4; 45.17 deg, rel. 873, hkl 1 1 5; 45.99 deg, rel. 1000, hkl 3 0 0; 50.29 deg, rel. 134, hkl 2 1 4; 51.69 deg, rel. 100, hkl 1 1 6; 66.44 deg, rel. 180, hkl 2 2 5; 76.59 deg, rel. 107, hkl 3 2 4; 84.57 deg, rel. 133, hkl 4 1 5; 85.16 deg, rel. 100, hkl 3 3 0

Structure:
a b c (Å): 6.8361 6.8361 12.3997
angles (deg): 90.00 90.00 120.00
Space group P6_3cm (No. 185)
One atom of each set of equivalent atoms:
Ni  0.0000  0.0000  0.0241
Ni  0.0000  0.2737  0.6964
Ni  0.0000  0.3076  0.9019
Ni  0.0000  0.3699  0.5000
Ni  0.0000  0.3728  0.2904
Ni  0.3333  0.6667  0.1666
Ge  0.0000  0.0000  0.3194
Ge  0.0000  0.3296  0.0952
Ge  0.3333  0.6667  0.3760

The following is a computed XRD peak list of SmYGa4. It was derived from a structure optimized by DFT (GGA-PBE), using Cu Ka.

Principal peaks in the range 2θ = 10–90°, by angle:
26.04 deg, rel. 232, hkl 1 1 1; 29.30 deg, rel. 562, hkl 1 3 1; 35.01 deg, rel. 437, hkl 1 5 1; 35.39 deg, rel. 1000, hkl 1 1 2; 39.66 deg, rel. 702, hkl 0 6 2; 39.88 deg, rel. 760, hkl 1 7 0; 44.09 deg, rel. 400, hkl 2 0 0; 47.42 deg, rel. 262, hkl 1 1 3; 60.78 deg, rel. 390, hkl 2 6 2; 74.97 deg, rel. 182, hkl 1 13 2

Structure:
a b c (Å): 4.1079 18.9540 6.5440
angles (deg): 90.00 90.00 90.00
Space group Cmcm (No. 63)
One atom of each set of equivalent atoms:
Sm  0.0000  0.2351  0.2500
Y  0.0000  0.0887  0.7500
Ga  0.0000  0.0691  0.2500
Ga  0.0000  0.3572  0.5438
Ga  0.0000  0.5000  0.0000

The following is a computed XRD peak list of Dy4SnGe4Pd2. It was derived from a structure optimized by DFT (GGA-PBE), using Cu Ka.

Principal peaks in the range 2θ = 10–90°, by angle:
32.58 deg, rel. 864, hkl 3 1 1; 33.84 deg, rel. 211, hkl 6 0 -1; 33.96 deg, rel. 586, hkl 3 1 -2; 35.39 deg, rel. 1000, hkl 1 1 2; 36.27 deg, rel. 366, hkl 5 1 0; 37.20 deg, rel. 213, hkl 6 0 -2; 39.36 deg, rel. 182, hkl 4 0 -3; 41.70 deg, rel. 224, hkl 6 0 1; 42.15 deg, rel. 474, hkl 0 2 0; 59.08 deg, rel. 209, hkl 4 2 -3

Structure:
a b c (Å): 15.9298 4.2874 7.1921
angles (deg): 90.00 107.78 90.00
Space group C2/m (No. 12)
One atom of each set of equivalent atoms:
Dy  0.0880  0.0000  0.3818
Dy  0.1554  0.0000  0.9261
Sn  0.0000  0.5000  0.0000
Ge  0.0617  0.5000  0.6579
Ge  0.1948  0.5000  0.2440
Pd  0.2173  0.5000  0.6332

The following is a computed XRD peak list of BaFeTe2. It was derived from a structure optimized by DFT (GGA-PBE), using Cu Ka.

Principal peaks in the range 2θ = 10–90°, by angle:
19.69 deg, rel. 49, hkl 1 1 1; 22.77 deg, rel. 32, hkl 2 0 0; 32.42 deg, rel. 1000, hkl 2 2 0; 38.22 deg, rel. 28, hkl 3 1 1; 46.51 deg, rel. 180, hkl 4 0 0; 52.39 deg, rel. 14, hkl 4 2 0; 57.84 deg, rel. 371, hkl 4 2 2; 67.89 deg, rel. 114, hkl 4 4 0; 77.26 deg, rel. 157, hkl 6 2 0; 86.30 deg, rel. 40, hkl 4 4 4

Structure:
a b c (Å): 7.8099 7.8099 7.8099
angles (deg): 90.00 90.00 90.00
Space group F-43m (No. 216)
One atom of each set of equivalent atoms:
Ba  0.0000  0.0000  0.0000
Fe  0.2500  0.2500  0.2500
Te  0.0000  0.0000  0.5000
Te  0.2500  0.2500  0.7500

The following is a computed XRD peak list of Tm2ZnIn3Ni2. It was derived from a structure optimized by DFT (GGA-PBE), using Cu Ka.

Principal peaks in the range 2θ = 10–90°, by angle:
33.34 deg, rel. 1000, hkl 1 1 2; 34.29 deg, rel. 259, hkl 3 1 0; 36.36 deg, rel. 374, hkl 3 1 -1; 36.50 deg, rel. 272, hkl 3 1 1; 37.99 deg, rel. 122, hkl 4 0 -1; 38.16 deg, rel. 164, hkl 4 0 1; 40.59 deg, rel. 126, hkl 2 0 -3; 40.84 deg, rel. 157, hkl 2 0 3; 42.70 deg, rel. 341, hkl 0 2 0; 69.64 deg, rel. 163, hkl 7 1 0

Structure:
a b c (Å): 9.9731 4.2347 7.4217
angles (deg): 90.00 90.42 90.00
Space group Cm (No. 8)
One atom of each set of equivalent atoms:
Tm  0.0000  0.0000  0.0000
Tm  0.1360  0.0000  0.5249
Zn  0.4226  0.0000  0.7134
In  0.2107  0.5000  0.8133
In  0.2138  0.5000  0.2160
In  0.4270  0.0000  0.3219
Ni  0.2907  0.0000  0.0089
Ni  0.3570  0.5000  0.5236